Starting from the GGA+U geometry in Alexandria, the XRD peak list of V2SnP3O12 was calculated for CuKα.
Intensities are scaled so that the largest is 100.

Top 12 peaks for 2θ from 10° to 80°, in order of rising 2θ:
d_spacing  I (rel.)
6.224  17
4.311  94
3.739  66
3.544  27
2.832  100
2.738  24
2.489  34
2.074  19
1.994  27
1.870  35
1.630  24
1.495  23

Atomic structure:
Unit cell a=9.010 b=9.010 c=9.010 alpha=57.17 beta=57.17 gamma=57.17
Positions (direct):
1 V 0.148 0.148 0.148
2 V 0.352 0.352 0.352
3 V 0.648 0.648 0.648
4 V 0.852 0.852 0.852
5 Sn 0.000 0.000 0.000
6 Sn 0.500 0.500 0.500
7 P 0.037 0.750 0.463
8 P 0.250 0.537 0.963
9 P 0.463 0.037 0.750
10 P 0.537 0.963 0.250
11 P 0.750 0.463 0.037
12 P 0.963 0.250 0.537
13 O 0.011 0.779 0.630
14 O 0.063 0.924 0.280
15 O 0.076 0.720 0.937
16 O 0.130 0.279 0.511
17 O 0.220 0.576 0.437
18 O 0.221 0.370 0.989
19 O 0.279 0.511 0.130
20 O 0.280 0.063 0.924
21 O 0.370 0.989 0.221
22 O 0.424 0.563 0.780
23 O 0.437 0.220 0.576
24 O 0.489 0.870 0.721
25 O 0.511 0.130 0.279
26 O 0.563 0.780 0.424
27 O 0.576 0.437 0.220
28 O 0.630 0.011 0.779
29 O 0.720 0.937 0.076
30 O 0.721 0.489 0.870
31 O 0.779 0.630 0.011
32 O 0.780 0.424 0.563
33 O 0.870 0.721 0.489
34 O 0.924 0.280 0.063
35 O 0.937 0.076 0.720
36 O 0.989 0.221 0.370